This entry pairs a crystal structure of Y6Cu11O24 with its computed XRD peak list. Radiation: Cu Ka. Structure: a crystal structure in the Materials Project, relaxed with GGA-PBE.
Kinematic intensities with the Lorentz-polarization factor, no thermal factor.

Structural model:
Unit cell a=6.3311 b=8.1487 c=10.0422 alpha=66.23 beta=81.57 gamma=89.23
Element x y z (fractional)
Y1 0.0762 0.4645 0.3235
Y2 0.2468 0.8684 0.0000
Y3 0.4225 0.7910 0.6716
Y4 0.5775 0.2090 0.3284
Y5 0.7532 0.1316 0.0000
Y6 0.9238 0.5355 0.6765
Cu1 0.0000 0.0000 0.5000
Cu2 0.1596 0.1757 0.1603
Cu3 0.1634 0.1674 0.6635
Cu4 0.3278 0.3315 0.8335
Cu5 0.3353 0.8299 0.3341
Cu6 0.5000 0.5000 0.0000
Cu7 0.5000 0.5000 0.5000
Cu8 0.6647 0.1701 0.6659
Cu9 0.6722 0.6685 0.1665
Cu10 0.8366 0.8326 0.3365
Cu11 0.8404 0.8243 0.8397
O1 0.0106 0.9825 0.1572
O2 0.0348 0.8136 0.6819
O3 0.0367 0.3327 0.8815
O4 0.0634 0.6968 0.4171
O5 0.2948 0.9742 0.4433
O6 0.2982 0.6546 0.9129
O7 0.3023 0.5230 0.6552
O8 0.3149 0.3597 0.1754
O9 0.3376 0.3145 0.4854
O10 0.3608 0.1461 0.0132
O11 0.3751 0.6866 0.2229
O12 0.3931 0.0369 0.7449
O13 0.6069 0.9631 0.2551
O14 0.6249 0.3134 0.7771
O15 0.6392 0.8539 0.9868
O16 0.6624 0.6855 0.5146
O17 0.6851 0.6403 0.8246
O18 0.6977 0.4770 0.3448
O19 0.7018 0.3454 0.0871
O20 0.7052 0.0258 0.5567
O21 0.9366 0.3032 0.5829
O22 0.9633 0.6673 0.1185
O23 0.9652 0.1864 0.3181
O24 0.9894 0.0175 0.8428

Largest 12 diffraction maxima, sorted by position, 2θ from 10° to 80°:
- 2θ = 28.72°, I = 35
- 2θ = 28.90°, I = 32
- 2θ = 31.56°, I = 42
- 2θ = 32.16°, I = 46
- 2θ = 35.92°, I = 61
- 2θ = 36.15°, I = 47
- 2θ = 36.31°, I = 71
- 2θ = 36.55°, I = 42
- 2θ = 36.69°, I = 46
- 2θ = 37.09°, I = 100
- 2θ = 54.13°, I = 29
- 2θ = 59.85°, I = 30



This entry pairs a crystal structure of Sr2AlGaCu2O7 with its computed XRD peak list. Radiation: Cu Ka. Structure: a crystal structure in the Materials Project, relaxed with GGA-PBE.
Kinematic intensities with the Lorentz-polarization factor, no thermal factor.

Structural model:
Unit cell a=12.1794 b=12.1794 c=5.2936 alpha=102.42 beta=102.42 gamma=25.65
Element x y z (fractional)
Sr1 0.0357 0.5641 0.3087
Sr2 0.2301 0.7699 0.5000
Sr3 0.5641 0.0357 0.8087
Sr4 0.7699 0.2301 0.0000
Al1 0.3906 0.9088 0.6738
Al2 0.9088 0.3906 0.1738
Ga1 0.2188 0.5811 0.9505
Ga2 0.5811 0.2188 0.4505
Cu1 0.3449 0.8389 0.0985
Cu2 0.4576 0.9583 0.2266
Cu3 0.8389 0.3449 0.5985
Cu4 0.9583 0.4576 0.7266
O1 0.0383 0.1602 0.9219
O2 0.0394 0.6104 0.8155
O3 0.1305 0.2822 0.3967
O4 0.1602 0.0383 0.4219
O5 0.1931 0.7567 0.9600
O6 0.2542 0.5459 0.3098
O7 0.2822 0.1305 0.8967
O8 0.5106 0.6758 0.7692
O9 0.5459 0.2542 0.8098
O10 0.6104 0.0394 0.3155
O11 0.6285 0.7739 0.5407
O12 0.6758 0.5106 0.2692
O13 0.7567 0.1931 0.4600
O14 0.7739 0.6285 0.0407

Largest 12 diffraction maxima, sorted by position, 2θ from 10° to 80°:
- 2θ = 28.18°, I = 42
- 2θ = 33.14°, I = 100
- 2θ = 33.87°, I = 36
- 2θ = 38.87°, I = 27
- 2θ = 39.18°, I = 21
- 2θ = 48.11°, I = 29
- 2θ = 51.98°, I = 12
- 2θ = 59.19°, I = 12
- 2θ = 60.08°, I = 8
- 2θ = 63.43°, I = 7
- 2θ = 63.56°, I = 8
- 2θ = 69.52°, I = 12



This entry pairs a crystal structure of Y2TeO6 with its computed XRD peak list. Radiation: Cu Ka. Structure: a crystal structure in the Materials Project, relaxed with GGA-PBE.
Kinematic intensities with the Lorentz-polarization factor, no thermal factor.

Structural model:
Unit cell a=9.9086 b=9.9086 c=5.4407 alpha=104.02 beta=104.02 gamma=69.10
Element x y z (fractional)
Y1 0.0641 0.2853 0.8846
Y2 0.1032 0.8968 0.7500
Y3 0.2853 0.0641 0.3846
Y4 0.3772 0.6228 0.2500
Y5 0.6228 0.3772 0.7500
Y6 0.7147 0.9359 0.6154
Y7 0.8968 0.1032 0.2500
Y8 0.9359 0.7147 0.1154
Te1 0.1944 0.4998 0.5633
Te2 0.4998 0.1944 0.0633
Te3 0.5002 0.8056 0.9367
Te4 0.8056 0.5002 0.4367
O1 0.0564 0.4705 0.2595
O2 0.0758 0.1072 0.0751
O3 0.1072 0.0758 0.5751
O4 0.1554 0.6850 0.4277
O5 0.1814 0.6191 0.8929
O6 0.2129 0.3161 0.6402
O7 0.3150 0.8446 0.0723
O8 0.3161 0.2129 0.1402
O9 0.3809 0.8186 0.6071
O10 0.3864 0.4582 0.5079
O11 0.4582 0.3864 0.0079
O12 0.4705 0.0564 0.7595
O13 0.5295 0.9436 0.2405
O14 0.5418 0.6136 0.9921
O15 0.6136 0.5418 0.4921
O16 0.6191 0.1814 0.3929
O17 0.6839 0.7871 0.8598
O18 0.6850 0.1554 0.9277
O19 0.7871 0.6839 0.3598
O20 0.8186 0.3809 0.1071
O21 0.8446 0.3150 0.5723
O22 0.8928 0.9242 0.4249
O23 0.9242 0.8928 0.9249
O24 0.9436 0.5295 0.7405

Largest 12 diffraction maxima, sorted by position, 2θ from 10° to 80°:
- 2θ = 28.16°, I = 100
- 2θ = 28.99°, I = 83
- 2θ = 31.85°, I = 16
- 2θ = 32.95°, I = 16
- 2θ = 34.50°, I = 13
- 2θ = 46.49°, I = 25
- 2θ = 47.40°, I = 22
- 2θ = 47.65°, I = 24
- 2θ = 49.50°, I = 9
- 2θ = 55.48°, I = 15
- 2θ = 57.53°, I = 13
- 2θ = 76.36°, I = 9



This entry pairs a crystal structure of LiMgH14Cl3O7 with its computed XRD peak list. Radiation: Cu Ka. Structure: a crystal structure in the Materials Project, relaxed with GGA-PBE.
Kinematic intensities with the Lorentz-polarization factor, no thermal factor.

Structural model:
Unit cell a=6.6761 b=6.6896 c=6.8943 alpha=88.16 beta=88.17 gamma=88.16
Element x y z (fractional)
Li1 0.0000 0.0000 0.0000
Mg1 0.5920 0.5923 0.5890
H1 0.1379 0.3106 0.1515
H2 0.2399 0.7975 0.5501
H3 0.2560 0.6681 0.3622
H4 0.3114 0.1471 0.1408
H5 0.3583 0.2520 0.6622
H6 0.3761 0.6726 0.9263
H7 0.5525 0.2425 0.7874
H8 0.5525 0.8243 0.9204
H9 0.6648 0.3608 0.2569
H10 0.6756 0.9336 0.3764
H11 0.7915 0.5559 0.2439
H12 0.8276 0.9284 0.5489
H13 0.9259 0.5503 0.8191
H14 0.9347 0.3721 0.6735
Cl1 0.0772 0.0699 0.6671
Cl2 0.0769 0.6487 0.0830
Cl3 0.6480 0.0838 0.0782
O1 0.1651 0.1650 0.1512
O2 0.3114 0.6818 0.4911
O3 0.4900 0.3119 0.6759
O4 0.5051 0.7026 0.8608
O5 0.6782 0.4928 0.3139
O6 0.7059 0.8670 0.5016
O7 0.8682 0.5028 0.6998

Largest 12 diffraction maxima, sorted by position, 2θ from 10° to 80°:
- 2θ = 22.11°, I = 36
- 2θ = 23.08°, I = 100
- 2θ = 25.87°, I = 43
- 2θ = 26.71°, I = 77
- 2θ = 29.55°, I = 37
- 2θ = 30.12°, I = 34
- 2θ = 30.29°, I = 27
- 2θ = 32.86°, I = 39
- 2θ = 36.92°, I = 32
- 2θ = 43.98°, I = 42
- 2θ = 45.04°, I = 37
- 2θ = 47.16°, I = 20